[1]
Calculated powder XRD pattern of KS2N4 for Cu Kα (weighted mean of Kα1 and Kα2), from a DFT-relaxed cell (PBE, Alexandria).
Intensities are scaled so that the largest is 100.

Peak list (10 most intense, 15 to 90 degrees two-theta, most intense first)
| d [Å] | I (rel.) |
| --- | --- |
| 3.575 | 100 |
| 3.049 | 78 |
| 2.521 | 67 |
| 3.089 | 62 |
| 2.759 | 47 |
| 3.641 | 38 |
| 2.297 | 35 |
| 2.061 | 19 |
| 1.855 | 17 |
| 1.930 | 13 |

Structural model:
```
data_KS2N4
_chemical_formula_sum 'K1 S2 N4'
_cell_length_a 4.310
_cell_length_b 5.882
_cell_length_c 7.598
_cell_angle_alpha 72.62
_cell_angle_beta 76.96
_cell_angle_gamma 76.25
_space_group_name_H-M_alt 'P -1'
_space_group_IT_number 2
loop_
_space_group_symop_operation_xyz
'x,y,z'
'-x,-y,-z'
loop_
_atom_site_label
_atom_site_type_symbol
_atom_site_fract_x
_atom_site_fract_y
_atom_site_fract_z
_atom_site_occupancy
K1 K 0.000 0.000 0.000 1
S1 S 0.299 0.430 0.068 1
N1 N 0.008 0.004 0.571 1
N2 N 0.421 0.431 0.533 1
```

=====

[2]
Calculated powder XRD pattern of K2S4N3 for Cu Kα (weighted mean of Kα1 and Kα2), from a DFT-relaxed cell (PBE, Alexandria).
Intensities are scaled so that the largest is 100.

Peak list (10 most intense, 15 to 90 degrees two-theta, most intense first)
| d [Å] | I (rel.) |
| --- | --- |
| 3.432 | 100 |
| 3.566 | 45 |
| 2.256 | 43 |
| 1.931 | 28 |
| 4.687 | 28 |
| 2.811 | 22 |
| 3.662 | 22 |
| 1.878 | 22 |
| 4.234 | 20 |
| 2.519 | 20 |

Structural model:
```
data_K2S4N3
_chemical_formula_sum 'K8 S16 N12'
_cell_length_a 11.253
_cell_length_b 16.938
_cell_length_c 5.039
_cell_angle_alpha 90.00
_cell_angle_beta 90.00
_cell_angle_gamma 90.00
_space_group_name_H-M_alt 'C c c m'
_space_group_IT_number 66
_space_group_name_Hall '-C 2 2c'
loop_
_atom_site_label
_atom_site_type_symbol
_atom_site_fract_x
_atom_site_fract_y
_atom_site_fract_z
_atom_site_occupancy
K1 K 0.143 0.116 0.000 1
S1 S 0.078 0.391 0.500 1
S2 S 0.162 0.236 0.500 1
N1 N 0.000 0.000 0.250 1
N2 N 0.000 0.405 0.250 1
```